Starting from a DFT-relaxed cell (GGA-PBE, Alexandria), the XRD peak list of Pd13Pb9 was calculated for λ = 1.5418 Å (Cu Kα).

Crystal structure
```
Pd13Pb9
1.0
8.005 -4.627 0.000
8.005 4.627 0.000
-7.992 0.000 11.710
Pd Pb
26 18
direct
0.000 0.238 0.500
0.000 0.762 0.500
0.103 0.843 0.361
0.123 0.379 0.751
0.124 0.876 0.750
0.157 0.897 0.139
0.158 0.401 0.132
0.238 0.000 0.000
0.244 0.519 0.006
0.366 0.599 0.874
0.379 0.123 0.251
0.401 0.158 0.632
0.401 0.634 0.626
0.481 0.756 0.494
0.519 0.244 0.506
0.599 0.366 0.374
0.599 0.842 0.368
0.621 0.877 0.749
0.634 0.401 0.126
0.756 0.481 0.994
0.762 0.000 0.000
0.842 0.599 0.868
0.843 0.103 0.861
0.876 0.124 0.250
0.877 0.621 0.249
0.897 0.157 0.639
0.027 0.772 0.884
0.077 0.255 0.887
0.173 0.507 0.624
0.228 0.973 0.616
0.251 0.493 0.382
0.255 0.077 0.387
0.376 0.624 0.250
0.493 0.251 0.882
0.493 0.827 0.876
0.507 0.173 0.124
0.507 0.749 0.118
0.624 0.376 0.750
0.745 0.923 0.613
0.749 0.507 0.618
0.772 0.027 0.384
0.827 0.493 0.376
0.923 0.745 0.113
0.973 0.228 0.116
```

Top 12 peaks for 2θ = 15–90°, by angle:
Position (°2θ)	d_spacing	I (rel.)
26.97	3.305	31
29.76	3.002	9
30.53	2.929	20
38.08	2.363	100
38.95	2.312	91
50.29	1.814	10
55.61	1.653	24
63.56	1.464	8
69.96	1.345	22
70.55	1.335	10
77.10	1.237	16
77.17	1.236	8



Starting from a DFT-relaxed cell (GGA-PBE, Alexandria), the XRD peak list of Cs2PrTiO4 was calculated for λ = 1.5418 Å (Cu Kα).

Crystal structure
```
Cs2PrTiO4
1.0
0.000 6.800 12.354
3.091 0.000 12.354
3.091 6.800 0.000
Cs Pr Ti O
4 2 2 8
direct
0.057 0.057 0.693
0.307 0.307 0.943
0.693 0.693 0.057
0.943 0.943 0.307
0.125 0.125 0.125
0.875 0.875 0.875
0.375 0.375 0.375
0.625 0.625 0.625
0.062 0.615 0.533
0.289 0.533 0.615
0.385 0.938 0.711
0.467 0.711 0.938
0.533 0.289 0.062
0.615 0.062 0.289
0.711 0.467 0.385
0.938 0.385 0.467
```

Top 12 peaks for 2θ = 15–90°, by angle:
Position (°2θ)	d_spacing	I (rel.)
16.15	5.487	49
19.10	4.646	26
23.96	3.713	51
24.62	3.616	28
25.28	3.523	100
26.21	3.400	48
30.41	2.939	50
31.80	2.814	56
36.33	2.473	44
45.36	1.999	39
49.89	1.828	24
66.46	1.407	24



Starting from a DFT-relaxed cell (GGA-PBE, Alexandria), the XRD peak list of Rb2RePd was calculated for λ = 1.5418 Å (Cu Kα).

Crystal structure
```
Rb2RePd
1.0
-6.400 6.400 2.428
6.400 -6.400 2.428
6.400 6.400 -2.428
Rb Re Pd
4 2 2
direct
0.375 0.050 0.175
0.800 0.625 0.675
0.875 0.200 0.825
0.950 0.125 0.325
0.250 0.750 0.500
0.500 0.500 0.000
0.000 0.000 0.000
0.750 0.250 0.500
```

Top 12 peaks for 2θ = 15–90°, by angle:
Position (°2θ)	d_spacing	I (rel.)
19.61	4.526	38
21.96	4.048	25
24.03	3.704	54
27.88	3.200	54
31.24	2.863	100
38.38	2.345	34
43.46	2.082	45
44.78	2.024	25
48.10	1.892	22
52.42	1.745	29
56.51	1.629	21
64.17	1.451	22



Starting from a DFT-relaxed cell (GGA-PBE, Alexandria), the XRD peak list of Y2SnAu was calculated for λ = 1.5418 Å (Cu Kα).

Crystal structure
```
Y2SnAu
1.0
6.100 0.000 0.000
0.000 4.482 0.000
-2.890 0.000 7.688
Y Sn Au
4 2 2
direct
0.208 0.250 0.437
0.221 0.250 0.918
0.779 0.750 0.082
0.792 0.750 0.563
0.329 0.750 0.209
0.671 0.250 0.791
0.325 0.750 0.704
0.675 0.250 0.296
```

Top 12 peaks for 2θ = 15–90°, by angle:
Position (°2θ)	d_spacing	I (rel.)
15.52	5.710	29
22.91	3.881	34
30.45	2.935	95
30.64	2.918	100
31.33	2.855	58
37.35	2.408	71
37.74	2.383	94
38.20	2.356	90
40.24	2.241	62
44.11	2.053	47
51.87	1.763	28
61.23	1.514	36



Starting from a DFT-relaxed cell (GGA-PBE, Alexandria), the XRD peak list of Na3Tb3InSe8 was calculated for λ = 1.5418 Å (Cu Kα).

Crystal structure
```
Na3Tb3InSe8
1.0
7.112 -4.099 0.000
7.112 4.099 0.000
-4.745 0.000 7.112
Na Tb In Se
3 3 1 8
direct
0.000 0.000 0.000
0.000 0.500 0.000
0.500 0.000 0.000
0.000 0.500 0.500
0.500 0.000 0.500
0.500 0.500 0.500
0.000 0.000 0.500
0.239 0.239 0.727
0.239 0.749 0.727
0.251 0.761 0.273
0.256 0.256 0.269
0.744 0.744 0.731
0.749 0.239 0.727
0.761 0.251 0.273
0.761 0.761 0.273
```

Top 12 peaks for 2θ = 15–90°, by angle:
Position (°2θ)	d_spacing	I (rel.)
25.41	3.505	22
30.22	2.957	100
38.93	2.313	16
42.38	2.133	37
44.15	2.051	35
46.05	1.971	14
53.85	1.702	8
54.44	1.686	19
62.85	1.479	11
70.03	1.344	15
72.56	1.303	10
79.96	1.200	8



Starting from a DFT-relaxed cell (GGA-PBE, Alexandria), the XRD peak list of Li2PmBeAu4 was calculated for λ = 1.5418 Å (Cu Kα).

Crystal structure
```
Li2PmBeAu4
1.0
2.211 1.276 8.337
-2.211 1.276 8.337
0.000 -2.553 8.337
Li Pm Be Au
2 1 1 4
direct
0.239 0.239 0.239
0.761 0.761 0.761
0.000 0.000 0.000
0.500 0.500 0.500
0.135 0.135 0.135
0.404 0.404 0.404
0.596 0.596 0.596
0.865 0.865 0.865
```

Top 12 peaks for 2θ = 15–90°, by angle:
Position (°2θ)	d_spacing	I (rel.)
24.31	3.661	23
27.31	3.266	84
29.37	3.041	33
34.33	2.612	83
37.12	2.422	45
40.82	2.211	100
46.45	1.955	31
49.81	1.831	17
54.36	1.688	23
70.16	1.341	21
70.78	1.331	36
74.31	1.276	18